This entry pairs a crystal structure of Sr2LiCdWO6 with its simulated XRD peak list. Radiation: Cu Ka. Structure: a GGA+U-relaxed structure.

Structural model:
Cell: 6.235 6.235 5.450 Å, 110.84 110.84 55.61°
Atoms (fractional coordinates):
Sr (0.220, 0.220, 0.182)
Sr (0.780, 0.780, 0.818)
Li (0.500, 0.500, 0.500)
Cd (0.000, 0.000, 0.500)
W (0.500, 0.500, 0.000)
O (0.187, 0.651, 0.183)
O (0.337, 0.337, 0.682)
O (0.349, 0.813, 0.817)
O (0.651, 0.187, 0.183)
O (0.663, 0.663, 0.318)
O (0.813, 0.349, 0.817)

Most intense lines, 2θ from 10° to 90°, by angle:
two_theta, I_rel
17.6, 26
27.6, 88
29.6, 100
30.7, 47
45.8, 34
47.7, 24